# Re5Ni2As12
Simulated PXRD pattern, λ = 1.5418 Å (Cu Kα). Input: a DFT-relaxed cell (GGA-PBE, the Materials Project).

Structure:
```
data_Re5Ni2As12
_chemical_formula_sum 'Re10 Ni4 As24'
_cell_length_a 12.649
_cell_length_b 15.743
_cell_length_c 3.249
_cell_angle_alpha 90.00
_cell_angle_beta 90.00
_cell_angle_gamma 90.00
_space_group_name_H-M_alt 'P 1'
_space_group_IT_number 1
loop_
_space_group_symop_operation_xyz
'x,y,z'
loop_
_atom_site_label
_atom_site_fract_x
_atom_site_fract_y
_atom_site_fract_z
_atom_site_occupancy
Re1 0.000 0.000 0.000 1
Re2 0.079 0.262 0.500 1
Re3 0.184 0.399 0.000 1
Re4 0.316 0.899 0.500 1
Re5 0.421 0.762 0.000 1
Re6 0.500 0.500 0.500 1
Re7 0.579 0.238 0.000 1
Re8 0.684 0.101 0.500 1
Re9 0.816 0.601 0.000 1
Re10 0.921 0.738 0.500 1
Ni1 0.129 0.653 0.500 1
Ni2 0.371 0.153 0.000 1
Ni3 0.629 0.847 0.000 1
Ni4 0.871 0.347 0.500 1
As1 0.035 0.422 0.500 1
As2 0.070 0.762 0.000 1
As3 0.093 0.098 0.500 1
As4 0.159 0.909 0.000 1
As5 0.208 0.559 0.000 1
As6 0.226 0.243 0.000 1
As7 0.274 0.743 0.500 1
As8 0.292 0.059 0.500 1
As9 0.341 0.409 0.500 1
As10 0.407 0.598 0.000 1
As11 0.430 0.262 0.500 1
As12 0.465 0.922 0.000 1
As13 0.535 0.078 0.000 1
As14 0.570 0.738 0.500 1
As15 0.593 0.402 0.000 1
As16 0.659 0.591 0.500 1
As17 0.708 0.941 0.500 1
As18 0.726 0.257 0.500 1
As19 0.774 0.757 0.000 1
As20 0.792 0.441 0.000 1
As21 0.841 0.091 0.000 1
As22 0.907 0.902 0.500 1
As23 0.930 0.238 0.000 1
As24 0.965 0.578 0.500 1
```

Main lines, sorted by position (2θ = 10–80°):
(hkl)	2θ (°)	d/Å	I/Imax
1 2 0	13.25	6.683	42
2 1 0	15.10	5.868	58
2 1 1	31.47	2.842	69
2 2 1	33.02	2.713	54
0 6 0	34.17	2.624	61
3 1 1	35.34	2.540	100
5 0 1	45.47	1.995	96
3 6 1	49.62	1.837	55
3 7 1	54.16	1.693	48
0 0 2	56.66	1.625	46

=====

# NiAs2Rh3
Simulated PXRD pattern, λ = 1.5418 Å (Cu Kα). Input: a DFT-relaxed cell (GGA-PBE, the Materials Project).

Structure:
```
data_NiAs2Rh3
_chemical_formula_sum 'Ni2 As4 Rh6'
_cell_length_a 3.956
_cell_length_b 7.509
_cell_length_c 5.787
_cell_angle_alpha 90.00
_cell_angle_beta 90.00
_cell_angle_gamma 90.00
_space_group_name_H-M_alt 'P 1'
_space_group_IT_number 1
loop_
_space_group_symop_operation_xyz
'x,y,z'
loop_
_atom_site_label
_atom_site_fract_x
_atom_site_fract_y
_atom_site_fract_z
_atom_site_occupancy
Ni1 0.000 0.069 0.000 1
Ni2 0.000 0.931 0.500 1
As1 0.000 0.357 0.810 1
As2 0.000 0.643 0.310 1
As3 0.500 0.140 0.268 1
As4 0.500 0.860 0.768 1
Rh1 0.000 0.318 0.388 1
Rh2 0.000 0.682 0.888 1
Rh3 0.500 0.171 0.689 1
Rh4 0.500 0.429 0.065 1
Rh5 0.500 0.571 0.565 1
Rh6 0.500 0.829 0.189 1
```

Main lines, sorted by position (2θ = 10–80°):
(hkl)	2θ (°)	d/Å	I/Imax
1 2 1	36.46	2.464	82
1 0 2	38.55	2.335	77
0 3 1	39.26	2.295	52
1 1 2	40.45	2.230	100
1 3 0	42.75	2.115	89
1 3 1	45.69	1.986	27
2 0 0	45.87	1.978	70
0 3 2	48.07	1.893	26
0 2 3	53.40	1.716	21
2 3 1	61.93	1.498	26

=====

# ScNi4As2
Simulated PXRD pattern, λ = 1.5418 Å (Cu Kα). Input: a DFT-relaxed cell (GGA-PBE, the Materials Project).

Structure:
```
data_ScNi4As2
_chemical_formula_sum 'Sc2 Ni8 As4'
_cell_length_a 7.084
_cell_length_b 7.084
_cell_length_c 3.747
_cell_angle_alpha 90.00
_cell_angle_beta 90.00
_cell_angle_gamma 90.00
_space_group_name_H-M_alt 'P 1'
_space_group_IT_number 1
loop_
_space_group_symop_operation_xyz
'x,y,z'
loop_
_atom_site_label
_atom_site_fract_x
_atom_site_fract_y
_atom_site_fract_z
_atom_site_occupancy
Sc1 0.000 0.000 0.000 1
Sc2 0.500 0.500 0.500 1
Ni1 0.090 0.345 0.500 1
Ni2 0.155 0.590 0.000 1
Ni3 0.345 0.090 0.500 1
Ni4 0.410 0.845 0.000 1
Ni5 0.590 0.155 0.000 1
Ni6 0.655 0.910 0.500 1
Ni7 0.845 0.410 0.000 1
Ni8 0.910 0.655 0.500 1
As1 0.217 0.783 0.500 1
As2 0.283 0.283 0.000 1
As3 0.717 0.717 0.000 1
As4 0.783 0.217 0.500 1
```

Main lines, sorted by position (2θ = 10–80°):
(hkl)	2θ (°)	d/Å	I/Imax
1 1 0	17.71	5.009	28
2 0 0	25.14	3.542	18
2 2 0	35.85	2.505	16
2 1 1	37.17	2.419	72
3 1 0	40.26	2.240	27
2 2 1	43.46	2.082	64
3 1 1	47.28	1.923	100
0 0 2	48.60	1.873	40
4 1 0	53.32	1.718	34
4 1 2	75.01	1.266	23

=====

# Sm2Ni12As7
Simulated PXRD pattern, λ = 1.5418 Å (Cu Kα). Input: a DFT-relaxed cell (GGA-PBE, the Materials Project).

Structure:
```
data_Sm2Ni12As7
_chemical_formula_sum 'Sm2 Ni12 As7'
_cell_length_a 9.367
_cell_length_b 9.367
_cell_length_c 3.862
_cell_angle_alpha 90.00
_cell_angle_beta 90.00
_cell_angle_gamma 120.00
_space_group_name_H-M_alt 'P 1'
_space_group_IT_number 1
loop_
_space_group_symop_operation_xyz
'x,y,z'
loop_
_atom_site_label
_atom_site_fract_x
_atom_site_fract_y
_atom_site_fract_z
_atom_site_occupancy
Sm1 0.000 0.000 0.000 1
Sm2 0.333 0.667 0.500 1
Ni1 0.048 0.279 0.500 1
Ni2 0.092 0.712 0.000 1
Ni3 0.231 0.952 0.500 1
Ni4 0.288 0.380 0.000 1
Ni5 0.456 0.219 0.000 1
Ni6 0.516 0.460 0.500 1
Ni7 0.540 0.055 0.500 1
Ni8 0.620 0.908 0.000 1
Ni9 0.721 0.769 0.500 1
Ni10 0.763 0.544 0.000 1
Ni11 0.781 0.237 0.000 1
Ni12 0.945 0.484 0.500 1
As1 0.071 0.441 0.000 1
As2 0.263 0.218 0.500 1
As3 0.371 0.929 0.000 1
As4 0.559 0.629 0.000 1
As5 0.667 0.333 0.500 1
As6 0.782 0.045 0.500 1
As7 0.955 0.737 0.500 1
```

Main lines, sorted by position (2θ = 10–80°):
(hkl)	2θ (°)	d/Å	I/Imax
2 0 1	32.00	2.797	14
3 0 0	33.13	2.704	13
2 1 1	37.45	2.401	100
3 0 1	40.73	2.215	10
4 0 0	44.68	2.028	11
1 3 1	46.72	1.944	22
0 0 2	47.06	1.931	27
1 4 0	51.63	1.770	23
3 2 1	54.75	1.677	18
1 4 2	72.43	1.305	16

=====

# SmNiAs
Simulated PXRD pattern, λ = 1.5418 Å (Cu Kα). Input: a DFT-relaxed cell (GGA-PBE, the Materials Project).

Structure:
```
data_SmNiAs
_chemical_formula_sum 'Sm1 Ni1 As1'
_cell_length_a 4.095
_cell_length_b 4.095
_cell_length_c 3.987
_cell_angle_alpha 90.00
_cell_angle_beta 90.00
_cell_angle_gamma 120.00
_space_group_name_H-M_alt 'P 1'
_space_group_IT_number 1
loop_
_space_group_symop_operation_xyz
'x,y,z'
loop_
_atom_site_label
_atom_site_fract_x
_atom_site_fract_y
_atom_site_fract_z
_atom_site_occupancy
Sm1 0.000 0.000 0.000 1
Ni1 0.667 0.333 0.500 1
As1 0.333 0.667 0.500 1
```

Main lines, sorted by position (2θ = 10–80°):
(hkl)	2θ (°)	d/Å	I/Imax
1 0 0	25.11	3.546	13
1 0 1	33.83	2.650	100
1 1 0	44.24	2.048	41
0 0 2	45.50	1.994	13
2 0 0	51.54	1.773	2
1 0 2	52.67	1.738	4
2 0 1	56.82	1.620	22
1 1 2	65.33	1.428	25
2 1 1	74.71	1.271	20
1 0 3	76.55	1.245	9

=====

# Sm6Ni20As13
Simulated PXRD pattern, λ = 1.5418 Å (Cu Kα). Input: a DFT-relaxed cell (GGA-PBE, the Materials Project).

Structure:
```
data_Sm6Ni20As13
_chemical_formula_sum 'Sm6 Ni20 As13'
_cell_length_a 13.230
_cell_length_b 13.230
_cell_length_c 3.948
_cell_angle_alpha 90.00
_cell_angle_beta 90.00
_cell_angle_gamma 120.00
_space_group_name_H-M_alt 'P 1'
_space_group_IT_number 1
loop_
_space_group_symop_operation_xyz
'x,y,z'
loop_
_atom_site_label
_atom_site_fract_x
_atom_site_fract_y
_atom_site_fract_z
_atom_site_occupancy
Sm1 0.054 0.855 0.000 1
Sm2 0.145 0.199 0.000 1
Sm3 0.520 0.135 0.500 1
Sm4 0.615 0.480 0.500 1
Sm5 0.801 0.946 0.000 1
Sm6 0.865 0.385 0.500 1
Ni1 0.000 0.000 0.500 1
Ni2 0.022 0.597 0.000 1
Ni3 0.089 0.347 0.500 1
Ni4 0.135 0.557 0.500 1
Ni5 0.257 0.733 0.000 1
Ni6 0.257 0.911 0.500 1
Ni7 0.267 0.524 0.000 1
Ni8 0.310 0.080 0.000 1
Ni9 0.356 0.251 0.500 1
Ni10 0.403 0.425 0.000 1
Ni11 0.422 0.865 0.500 1
Ni12 0.443 0.578 0.500 1
Ni13 0.476 0.743 0.000 1
Ni14 0.575 0.978 0.000 1
Ni15 0.653 0.743 0.500 1
Ni16 0.667 0.333 0.000 1
Ni17 0.749 0.105 0.500 1
Ni18 0.770 0.690 0.000 1
Ni19 0.895 0.644 0.500 1
Ni20 0.920 0.230 0.000 1
As1 0.057 0.433 0.000 1
As2 0.100 0.714 0.500 1
As3 0.196 0.053 0.500 1
As4 0.286 0.387 0.500 1
As5 0.333 0.667 0.500 1
As6 0.377 0.943 0.000 1
As7 0.470 0.282 0.000 1
As8 0.567 0.623 0.000 1
As9 0.613 0.900 0.500 1
As10 0.718 0.188 0.000 1
As11 0.812 0.530 0.000 1
As12 0.857 0.804 0.500 1
As13 0.947 0.143 0.500 1
```

Main lines, sorted by position (2θ = 10–80°):
(hkl)	2θ (°)	d/Å	I/Imax
3 0 1	32.62	2.745	21
2 2 1	35.40	2.535	34
4 1 0	35.92	2.500	15
1 3 1	36.29	2.476	100
4 2 0	41.72	2.165	14
5 1 0	44.00	2.058	15
0 0 2	45.97	1.974	35
5 2 0	49.70	1.835	30
2 5 1	55.21	1.664	28
5 2 2	70.01	1.344	21

=====

# SrNi2As2
Simulated PXRD pattern, λ = 1.5418 Å (Cu Kα). Input: a DFT-relaxed cell (GGA-PBE, the Materials Project).

Structure:
```
data_SrNi2As2
_chemical_formula_sum 'Sr2 Ni4 As4'
_cell_length_a 4.169
_cell_length_b 4.169
_cell_length_c 10.363
_cell_angle_alpha 90.00
_cell_angle_beta 90.00
_cell_angle_gamma 90.00
_space_group_name_H-M_alt 'P 1'
_space_group_IT_number 1
loop_
_space_group_symop_operation_xyz
'x,y,z'
loop_
_atom_site_label
_atom_site_fract_x
_atom_site_fract_y
_atom_site_fract_z
_atom_site_occupancy
Sr1 0.000 0.000 0.000 1
Sr2 0.500 0.500 0.500 1
Ni1 0.000 0.500 0.250 1
Ni2 0.000 0.500 0.750 1
Ni3 0.500 0.000 0.250 1
Ni4 0.500 0.000 0.750 1
As1 0.000 0.000 0.361 1
As2 0.000 0.000 0.639 1
As3 0.500 0.500 0.139 1
As4 0.500 0.500 0.861 1
```

Main lines, sorted by position (2θ = 10–80°):
(hkl)	2θ (°)	d/Å	I/Imax
0 0 2	17.11	5.182	14
1 1 0	30.32	2.948	17
1 0 3	33.69	2.660	100
1 1 2	35.02	2.562	67
2 0 0	43.41	2.085	69
1 1 4	46.67	1.946	28
1 0 5	49.09	1.856	14
2 1 3	56.05	1.641	45
1 1 6	62.30	1.490	28
2 2 0	63.06	1.474	22

=====

# Tb2NiAs2
Simulated PXRD pattern, λ = 1.5418 Å (Cu Kα). Input: a DFT-relaxed cell (GGA-PBE, the Materials Project).

Structure:
```
data_Tb2NiAs2
_chemical_formula_sum 'Tb4 Ni2 As4'
_cell_length_a 4.106
_cell_length_b 4.106
_cell_length_c 14.403
_cell_angle_alpha 90.00
_cell_angle_beta 90.00
_cell_angle_gamma 120.00
_space_group_name_H-M_alt 'P 1'
_space_group_IT_number 1
loop_
_space_group_symop_operation_xyz
'x,y,z'
loop_
_atom_site_label
_atom_site_fract_x
_atom_site_fract_y
_atom_site_fract_z
_atom_site_occupancy
Tb1 0.333 0.667 0.117 1
Tb2 0.333 0.667 0.383 1
Tb3 0.667 0.333 0.617 1
Tb4 0.667 0.333 0.883 1
Ni1 0.000 0.000 0.250 1
Ni2 0.000 0.000 0.750 1
As1 0.000 0.000 0.000 1
As2 0.000 0.000 0.500 1
As3 0.333 0.667 0.750 1
As4 0.667 0.333 0.250 1
```

Main lines, sorted by position (2θ = 10–80°):
(hkl)	2θ (°)	d/Å	I/Imax
1 0 1	25.80	3.453	26
1 0 3	31.30	2.858	100
1 0 4	35.48	2.530	58
1 0 5	40.29	2.238	26
1 1 0	44.11	2.053	68
0 0 8	50.71	1.800	14
2 0 3	55.08	1.667	20
2 0 4	57.83	1.594	14
1 1 8	69.43	1.354	31
2 1 3	73.11	1.294	17